For RbCdB3O6, a crystal structure in OQMD, relaxed with GGA-PBE gives the computed X-ray powder pattern in this record (Cu Kα).
No peak broadening, texture or thermal motion is included.

Structure:
```
RbCdB3O6
1.0
3.665 -6.650 0.000
3.665 6.650 0.000
-3.590 0.000 12.000
Rb Cd B O
4 4 12 24
Direct
0.174 0.686 0.869 Rb
0.314 0.826 0.631 Rb
0.686 0.174 0.369 Rb
0.826 0.314 0.131 Rb
0.381 0.530 0.378 Cd
0.470 0.619 0.122 Cd
0.530 0.381 0.878 Cd
0.619 0.470 0.622 Cd
0.075 0.691 0.373 B
0.078 0.228 0.911 B
0.161 0.184 0.660 B
0.184 0.161 0.160 B
0.228 0.078 0.411 B
0.309 0.925 0.127 B
0.691 0.075 0.873 B
0.772 0.922 0.589 B
0.816 0.839 0.840 B
0.839 0.816 0.340 B
0.922 0.772 0.089 B
0.925 0.309 0.627 B
0.020 0.030 0.378 O
0.030 0.020 0.878 O
0.092 0.748 0.090 O
0.094 0.528 0.376 O
0.129 0.350 0.667 O
0.224 0.358 0.187 O
0.252 0.908 0.410 O
0.281 0.403 0.940 O
0.350 0.129 0.167 O
0.358 0.224 0.687 O
0.403 0.281 0.440 O
0.472 0.906 0.124 O
0.528 0.094 0.876 O
0.597 0.719 0.560 O
0.642 0.776 0.313 O
0.650 0.871 0.833 O
0.719 0.597 0.060 O
0.748 0.092 0.590 O
0.776 0.642 0.813 O
0.871 0.650 0.333 O
0.906 0.472 0.624 O
0.908 0.252 0.910 O
0.970 0.980 0.122 O
0.980 0.970 0.622 O
```

Most intense lines, 2θ = 15–90°, low angle first:
2θ/deg, d_spacing, I_rel
23.76, 3.745, 61
25.42, 3.503, 77
25.97, 3.432, 92
29.78, 3.000, 100
30.07, 2.972, 70
43.86, 2.064, 41